Calculated X-ray powder pattern
Compound: MnVPt2Br
Radiation: Cu Kα
Structure: a crystal structure in Alexandria, relaxed with PBE
Neutral-atom scattering factors, no anomalous dispersion.

Structure:
a b c (Å): 4.750 4.750 4.235
angles (deg): 90.00 90.00 90.00
Element x y z (fractional)
Mn1 0.000 0.000 0.000
V1 0.500 0.500 0.000
Pt1 0.000 0.500 0.500
Pt2 0.500 0.000 0.500
Br1 0.000 0.000 0.500

Principal peaks in the range 2θ from 10° to 80°, in order of falling intensity:
hkl 1 1 1, 2θ 34.07, 2.632 Å, rel. 100
hkl 2 0 0, 2θ 37.88, 2.375 Å, rel. 74
hkl 0 0 1, 2θ 20.98, 4.235 Å, rel. 64
hkl 2 0 2, 2θ 58.39, 1.580 Å, rel. 41
hkl 2 0 1, 2θ 43.70, 2.072 Å, rel. 40
hkl 3 1 1, 2θ 65.99, 1.416 Å, rel. 29
hkl 0 0 2, 2θ 42.70, 2.117 Å, rel. 26
hkl 2 2 0, 2θ 54.65, 1.679 Å, rel. 25